Record 1
Structure and simulated XRD peak list of InCu2Bi (DFT lattice parameters and positions (GGA-PBE); copper Kα).
Neutral-atom scattering factors, no anomalous dispersion.

The 10 most intense peaks (15 to 90 degrees two-theta), in order of rising 2θ:
- 2θ 26.20, intensity 22
- 2θ 29.35, intensity 8
- 2θ 37.38, intensity 100
- 2θ 46.22, intensity 8
- 2θ 53.90, intensity 16
- 2θ 55.70, intensity 3
- 2θ 60.89, intensity 11
- 2θ 67.43, intensity 32
- 2θ 79.73, intensity 10
- 2θ 85.66, intensity 7

Cell and atoms:
```
data_InCu2Bi
_cell_length_a 6.804
_cell_length_b 6.804
_cell_length_c 6.804
_cell_angle_alpha 90.00
_cell_angle_beta 90.00
_cell_angle_gamma 90.00
_space_group_name_H-M_alt 'P m -3 m'
_space_group_IT_number 221
_space_group_name_Hall '-P 4 2 3'
loop_
_atom_site_label
_atom_site_type_symbol
_atom_site_fract_x
_atom_site_fract_y
_atom_site_fract_z
In1 In 0.000 0.000 0.000
In2 In 0.000 0.000 0.500
Cu1 Cu 0.227 0.227 0.227
Bi1 Bi 0.000 0.500 0.500
Bi2 Bi 0.500 0.500 0.500
```

=====

Record 2
Structure and simulated XRD peak list of InCoCuPd (DFT lattice parameters and positions (GGA-PBE); copper Kα).
Neutral-atom scattering factors, no anomalous dispersion.

The 6 most intense peaks (15 to 90 degrees two-theta), in order of rising 2θ:
- 2θ 28.96, intensity 9
- 2θ 41.42, intensity 100
- 2θ 51.33, intensity 3
- 2θ 60.01, intensity 16
- 2θ 67.99, intensity 3
- 2θ 75.54, intensity 31

Cell and atoms:
```
data_InCoCuPd
_cell_length_a 6.166
_cell_length_b 6.166
_cell_length_c 6.166
_cell_angle_alpha 90.00
_cell_angle_beta 90.00
_cell_angle_gamma 90.00
_space_group_name_H-M_alt 'F -4 3 m'
_space_group_IT_number 216
_space_group_name_Hall 'F -4 2 3'
loop_
_atom_site_label
_atom_site_type_symbol
_atom_site_fract_x
_atom_site_fract_y
_atom_site_fract_z
In1 In 0.000 0.000 0.000
Co1 Co 0.250 0.250 0.250
Cu1 Cu 0.250 0.250 0.750
Pd1 Pd 0.000 0.000 0.500
```

=====

Record 3
Structure and simulated XRD peak list of Cu9Ag (DFT lattice parameters and positions (GGA-PBE); copper Kα).
Neutral-atom scattering factors, no anomalous dispersion.

The 10 most intense peaks (15 to 90 degrees two-theta), in order of rising 2θ:
- 2θ 42.56, intensity 100
- 2θ 42.75, intensity 98
- 2θ 49.57, intensity 62
- 2θ 49.84, intensity 31
- 2θ 72.95, intensity 44
- 2θ 87.88, intensity 11
- 2θ 88.02, intensity 10
- 2θ 88.27, intensity 10
- 2θ 88.45, intensity 21
- 2θ 88.62, intensity 11

Cell and atoms:
```
data_Cu9Ag
_cell_length_a 13.226
_cell_length_b 3.659
_cell_length_c 5.218
_cell_angle_alpha 90.00
_cell_angle_beta 101.48
_cell_angle_gamma 90.00
_space_group_name_H-M_alt 'C 1 2/m 1'
_space_group_IT_number 12
loop_
_space_group_symop_operation_xyz
'x,y,z'
'-x,-y,-z'
'-x,y,-z'
'x,-y,z'
'x+1/2,y+1/2,z'
'-x+1/2,-y+1/2,-z'
'-x+1/2,y+1/2,-z'
'x+1/2,-y+1/2,z'
loop_
_atom_site_label
_atom_site_type_symbol
_atom_site_fract_x
_atom_site_fract_y
_atom_site_fract_z
Cu1 Cu 0.000 0.000 0.000
Cu2 Cu 0.104 0.500 0.293
Cu3 Cu 0.105 0.500 0.811
Cu4 Cu 0.200 0.000 0.100
Cu5 Cu 0.204 0.000 0.603
Ag1 Ag 0.000 0.000 0.500
```

=====

What did the first record say?
Structure and simulated XRD peak list of InCu2Bi (DFT lattice parameters and positions (GGA-PBE); copper Kα).
Neutral-atom scattering factors, no anomalous dispersion.

The 10 most intense peaks (15 to 90 degrees two-theta), in order of rising 2θ:
- 2θ 26.20, intensity 22
- 2θ 29.35, intensity 8
- 2θ 37.38, intensity 100
- 2θ 46.22, intensity 8
- 2θ 53.90, intensity 16
- 2θ 55.70, intensity 3
- 2θ 60.89, intensity 11
- 2θ 67.43, intensity 32
- 2θ 79.73, intensity 10
- 2θ 85.66, intensity 7

Cell and atoms:
```
data_InCu2Bi
_cell_length_a 6.804
_cell_length_b 6.804
_cell_length_c 6.804
_cell_angle_alpha 90.00
_cell_angle_beta 90.00
_cell_angle_gamma 90.00
_space_group_name_H-M_alt 'P m -3 m'
_space_group_IT_number 221
_space_group_name_Hall '-P 4 2 3'
loop_
_atom_site_label
_atom_site_type_symbol
_atom_site_fract_x
_atom_site_fract_y
_atom_site_fract_z
In1 In 0.000 0.000 0.000
In2 In 0.000 0.000 0.500
Cu1 Cu 0.227 0.227 0.227
Bi1 Bi 0.000 0.500 0.500
Bi2 Bi 0.500 0.500 0.500
```